[1]
Diffraction record for Nd3SmTe6. The XRD peak list is calculated, not measured: it uses a cell relaxed with PBE and λ = 1.5418 Å (Cu Kα).

Structural model:
```
data_Nd3SmTe6
_chemical_formula_sum 'Nd6 Sm2 Te12'
_cell_length_a 7.4714
_cell_length_b 8.3365
_cell_length_c 13.6270
_cell_angle_alpha 90.00
_cell_angle_beta 122.79
_cell_angle_gamma 90.00
_symmetry_space_group_name_H-M 'P 1'
_symmetry_Int_Tables_number 1
_symmetry_space_group_name_Hall 'P 1'
loop_
_atom_site_label
_atom_site_type_symbol
_atom_site_fract_x
_atom_site_fract_y
_atom_site_fract_z
Nd1 Nd 0.0000 0.0000 0.0000
Nd2 Nd 0.0000 0.5000 0.5000
Nd3 Nd 0.3047 0.1198 0.7515
Nd4 Nd 0.3047 0.3802 0.2515
Nd5 Nd 0.6953 0.6198 0.7485
Nd6 Nd 0.6953 0.8802 0.2485
Sm1 Sm 0.5000 0.0000 0.5000
Sm2 Sm 0.5000 0.5000 0.0000
Te1 Te 0.0858 0.0547 0.2521
Te2 Te 0.0858 0.4453 0.7521
Te3 Te 0.2442 0.6747 0.0828
Te4 Te 0.2442 0.8253 0.5828
Te5 Te 0.4230 0.1766 0.0816
Te6 Te 0.4230 0.3234 0.5816
Te7 Te 0.5770 0.6766 0.4184
Te8 Te 0.5770 0.8234 0.9184
Te9 Te 0.7558 0.1747 0.4172
Te10 Te 0.7558 0.3253 0.9172
Te11 Te 0.9142 0.5547 0.2479
Te12 Te 0.9142 0.9453 0.7479
```

Main lines, low angle first (2θ from 5° to 70°):
2θ (°)	d_spacing	intensity
22.34	3.979	48
25.68	3.469	55
26.13	3.410	87
27.24	3.274	56
27.35	3.261	54
28.27	3.157	57
28.43	3.140	59
31.78	2.816	55
34.43	2.605	100
38.13	2.360	50
40.86	2.209	55
41.08	2.197	63

[2]
Diffraction record for Ca2CO4. The XRD peak list is calculated, not measured: it uses a cell relaxed with PBE and λ = 1.5418 Å (Cu Kα).

Structural model:
```
data_Ca2CO4
_chemical_formula_sum 'Ca4 C2 O8'
_cell_length_a 6.0214
_cell_length_b 6.0214
_cell_length_c 5.1233
_cell_angle_alpha 90.00
_cell_angle_beta 90.00
_cell_angle_gamma 105.77
_symmetry_space_group_name_H-M 'P 1'
_symmetry_Int_Tables_number 1
_symmetry_space_group_name_Hall 'P 1'
loop_
_atom_site_label
_atom_site_type_symbol
_atom_site_fract_x
_atom_site_fract_y
_atom_site_fract_z
Ca1 Ca 0.0834 0.3711 0.2500
Ca2 Ca 0.3711 0.0834 0.7500
Ca3 Ca 0.6289 0.9166 0.2500
Ca4 Ca 0.9166 0.6289 0.7500
C1 C 0.1655 0.8345 0.2500
C2 C 0.8345 0.1655 0.7500
O1 O 0.0745 0.2533 0.7500
O2 O 0.2533 0.0745 0.2500
O3 O 0.2544 0.7456 0.0259
O4 O 0.2544 0.7456 0.4741
O5 O 0.7456 0.2544 0.5259
O6 O 0.7456 0.2544 0.9741
O7 O 0.7467 0.9255 0.7500
O8 O 0.9255 0.7467 0.2500
```

Main lines, low angle first (2θ from 5° to 70°):
2θ (°)	d_spacing	intensity
15.29	5.795	67
18.48	4.802	56
24.50	3.633	33
25.42	3.503	39
35.03	2.562	45
35.60	2.522	100
38.37	2.346	26
43.21	2.094	69
45.27	2.003	51
48.82	1.866	21
52.22	1.752	45
57.11	1.613	24

[3]
Diffraction record for La5DyY2. The XRD peak list is calculated, not measured: it uses a cell relaxed with PBE and λ = 1.5418 Å (Cu Kα).

Structural model:
```
data_La5DyY2
_chemical_formula_sum 'La10 Dy2 Y4'
_cell_length_a 6.7179
_cell_length_b 6.7179
_cell_length_c 16.5402
_cell_angle_alpha 90.00
_cell_angle_beta 90.00
_cell_angle_gamma 129.70
_symmetry_space_group_name_H-M 'P 1'
_symmetry_Int_Tables_number 1
_symmetry_space_group_name_Hall 'P 1'
loop_
_atom_site_label
_atom_site_type_symbol
_atom_site_fract_x
_atom_site_fract_y
_atom_site_fract_z
La1 La 0.0295 0.9705 0.7500
La2 La 0.1120 0.8880 0.0530
La3 La 0.1120 0.8880 0.4470
La4 La 0.4213 0.5787 0.0931
La5 La 0.4213 0.5787 0.4069
La6 La 0.5787 0.4213 0.5931
La7 La 0.5787 0.4213 0.9069
La8 La 0.8880 0.1120 0.5530
La9 La 0.8880 0.1120 0.9470
La10 La 0.9705 0.0295 0.2500
Dy1 Dy 0.2503 0.7497 0.2500
Dy2 Dy 0.7497 0.2503 0.7500
Y1 Y 0.2748 0.7252 0.6359
Y2 Y 0.2748 0.7252 0.8641
Y3 Y 0.7252 0.2748 0.1359
Y4 Y 0.7252 0.2748 0.3641
```

Main lines, low angle first (2θ from 5° to 70°):
2θ (°)	d_spacing	intensity
17.98	4.933	10
27.63	3.229	33
29.09	3.070	12
31.34	2.855	66
31.56	2.835	100
32.12	2.786	39
32.48	2.757	13
44.91	2.018	17
45.75	1.983	10
55.59	1.653	12
55.91	1.645	20
56.29	1.634	10

[4]
Diffraction record for NpMoPt. The XRD peak list is calculated, not measured: it uses a cell relaxed with PBE and λ = 1.5418 Å (Cu Kα).

Structural model:
```
data_NpMoPt
_chemical_formula_sum 'Np2 Mo2 Pt2'
_cell_length_a 3.2363
_cell_length_b 4.5098
_cell_length_c 7.9707
_cell_angle_alpha 90.00
_cell_angle_beta 90.00
_cell_angle_gamma 90.00
_symmetry_space_group_name_H-M 'P 1'
_symmetry_Int_Tables_number 1
_symmetry_space_group_name_Hall 'P 1'
loop_
_atom_site_label
_atom_site_type_symbol
_atom_site_fract_x
_atom_site_fract_y
_atom_site_fract_z
Np1 Np 0.2500 0.2500 0.1457
Np2 Np 0.7500 0.7500 0.8543
Mo1 Mo 0.2500 0.7500 0.5154
Mo2 Mo 0.7500 0.2500 0.4846
Pt1 Pt 0.2500 0.2500 0.7571
Pt2 Pt 0.7500 0.7500 0.2429
```

Main lines, low angle first (2θ from 5° to 70°):
2θ (°)	d_spacing	intensity
22.31	3.985	23
29.92	2.986	34
33.73	2.657	40
34.10	2.629	73
35.74	2.512	31
35.97	2.497	74
39.36	2.289	45
39.98	2.255	61
41.13	2.195	100
53.28	1.719	22
56.90	1.618	22
65.24	1.430	23

Please write out number 1 again, unchanged.
Diffraction record for Nd3SmTe6. The XRD peak list is calculated, not measured: it uses a cell relaxed with PBE and λ = 1.5418 Å (Cu Kα).

Structural model:
```
data_Nd3SmTe6
_chemical_formula_sum 'Nd6 Sm2 Te12'
_cell_length_a 7.4714
_cell_length_b 8.3365
_cell_length_c 13.6270
_cell_angle_alpha 90.00
_cell_angle_beta 122.79
_cell_angle_gamma 90.00
_symmetry_space_group_name_H-M 'P 1'
_symmetry_Int_Tables_number 1
_symmetry_space_group_name_Hall 'P 1'
loop_
_atom_site_label
_atom_site_type_symbol
_atom_site_fract_x
_atom_site_fract_y
_atom_site_fract_z
Nd1 Nd 0.0000 0.0000 0.0000
Nd2 Nd 0.0000 0.5000 0.5000
Nd3 Nd 0.3047 0.1198 0.7515
Nd4 Nd 0.3047 0.3802 0.2515
Nd5 Nd 0.6953 0.6198 0.7485
Nd6 Nd 0.6953 0.8802 0.2485
Sm1 Sm 0.5000 0.0000 0.5000
Sm2 Sm 0.5000 0.5000 0.0000
Te1 Te 0.0858 0.0547 0.2521
Te2 Te 0.0858 0.4453 0.7521
Te3 Te 0.2442 0.6747 0.0828
Te4 Te 0.2442 0.8253 0.5828
Te5 Te 0.4230 0.1766 0.0816
Te6 Te 0.4230 0.3234 0.5816
Te7 Te 0.5770 0.6766 0.4184
Te8 Te 0.5770 0.8234 0.9184
Te9 Te 0.7558 0.1747 0.4172
Te10 Te 0.7558 0.3253 0.9172
Te11 Te 0.9142 0.5547 0.2479
Te12 Te 0.9142 0.9453 0.7479
```

Main lines, low angle first (2θ from 5° to 70°):
2θ (°)	d_spacing	intensity
22.34	3.979	48
25.68	3.469	55
26.13	3.410	87
27.24	3.274	56
27.35	3.261	54
28.27	3.157	57
28.43	3.140	59
31.78	2.816	55
34.43	2.605	100
38.13	2.360	50
40.86	2.209	55
41.08	2.197	63